Theoretical powder diffraction line list of Cs8ZrMo6O24 for CuKα, from DFT lattice parameters and positions (GGA+U).
Intensities are scaled so that the largest is 100.

Structural model:
a = 11.360 Å, b = 11.360 Å, c = 8.498 Å
α = 99.11°, β = 99.11°, γ = 123.68°
Atoms (fractional coordinates):
Cs: 0.022 0.370 0.616
Cs: 0.164 0.836 0.000
Cs: 0.282 0.282 0.858
Cs: 0.370 0.022 0.616
Cs: 0.630 0.978 0.384
Cs: 0.718 0.718 0.142
Cs: 0.836 0.164 0.000
Cs: 0.978 0.630 0.384
Zr: 0.500 0.500 0.500
Mo: 0.125 0.125 0.303
Mo: 0.240 0.546 0.217
Mo: 0.454 0.760 0.783
Mo: 0.546 0.240 0.217
Mo: 0.760 0.454 0.783
Mo: 0.875 0.875 0.697
O: 0.041 0.897 0.681
O: 0.093 0.441 0.300
O: 0.103 0.959 0.319
O: 0.147 0.147 0.107
O: 0.176 0.460 0.997
O: 0.273 0.716 0.738
O: 0.284 0.727 0.262
O: 0.293 0.293 0.469
O: 0.405 0.553 0.314
O: 0.441 0.093 0.300
O: 0.447 0.595 0.686
O: 0.460 0.176 0.997
O: 0.540 0.824 0.003
O: 0.553 0.405 0.314
O: 0.559 0.907 0.700
O: 0.595 0.447 0.686
O: 0.707 0.707 0.531
O: 0.716 0.273 0.738
O: 0.727 0.284 0.262
O: 0.824 0.540 0.003
O: 0.853 0.853 0.893
O: 0.897 0.041 0.681
O: 0.907 0.559 0.700
O: 0.959 0.103 0.319

Principal peaks in the range 5° ≤ 2θ ≤ 70°, low angle first:
d = 3.580 Å, I 100; d = 3.505 Å, I 88; d = 3.339 Å, I 43; d = 3.141 Å, I 11; d = 2.998 Å, I 28; d = 2.662 Å, I 14; d = 2.373 Å, I 12; d = 2.230 Å, I 12; d = 2.052 Å, I 16; d = 1.971 Å, I 13; d = 1.934 Å, I 15; d = 1.790 Å, I 12